Entry 1:
Computed powder X-ray diffraction pattern of NaSiB for copper Kα, from a crystal structure in Alexandria, relaxed with GGA-PBE.
Peak positions follow from Bragg's law for the DFT cell and can differ from measured ones.

The 10 most intense peaks (10 to 90 degrees two-theta), sorted by position:
hkl  d (Å)  I_rel
1 1 1  5.254  36
1 1 3  3.224  21
0 0 4  2.887  26
2 2 2  2.627  100
3 1 1  2.504  12
1 3 3  2.221  12
0 4 0  2.166  23
1 1 5  2.151  15
4 0 0  2.014  16
2 6 2  1.323  13

```
data_NaSiB
_cell_length_a 8.054
_cell_length_b 8.665
_cell_length_c 11.550
_cell_angle_alpha 90.00
_cell_angle_beta 90.00
_cell_angle_gamma 90.00
_space_group_name_H-M_alt 'F d d 2'
_space_group_IT_number 43
_space_group_name_Hall 'F 2 -2d'
loop_
_atom_site_label
_atom_site_fract_x
_atom_site_fract_y
_atom_site_fract_z
_atom_site_occupancy
Na1 0.109 0.130 0.000 1
Si1 0.105 0.384 0.822 1
B1 0.076 0.428 0.994 1
```

=====

Entry 2:
Computed powder X-ray diffraction pattern of NaSiB for copper Kα, from a crystal structure in Alexandria, relaxed with GGA-PBE.
Peak positions follow from Bragg's law for the DFT cell and can differ from measured ones.

The 10 most intense peaks (10 to 90 degrees two-theta), sorted by position:
hkl  d (Å)  I_rel
0 1 0  4.662  20
1 1 0  2.781  17
0 1 2  2.547  71
1 1 1  2.529  100
0 2 0  2.331  45
1 0 3  1.750  30
2 0 0  1.732  17
2 1 2  1.432  21
1 2 3  1.399  27
2 2 0  1.390  16

```
data_NaSiB
_cell_length_a 3.464
_cell_length_b 4.662
_cell_length_c 6.081
_cell_angle_alpha 90.00
_cell_angle_beta 90.00
_cell_angle_gamma 90.00
_space_group_name_H-M_alt 'P m m m'
_space_group_IT_number 47
loop_
_space_group_symop_operation_xyz
'x,y,z'
'-x,-y,-z'
'-x,-y,z'
'x,y,-z'
'x,-y,-z'
'-x,y,z'
'-x,y,-z'
'x,-y,z'
loop_
_atom_site_label
_atom_site_fract_x
_atom_site_fract_y
_atom_site_fract_z
_atom_site_occupancy
Na1 0.000 0.000 0.000 1
Na2 0.500 0.000 0.500 1
Si1 0.000 0.500 0.308 1
B1 0.500 0.500 0.139 1
```

=====

Entry 3:
Computed powder X-ray diffraction pattern of NaVSi2B for copper Kα, from a crystal structure in Alexandria, relaxed with GGA-PBE.
Peak positions follow from Bragg's law for the DFT cell and can differ from measured ones.

The 10 most intense peaks (10 to 90 degrees two-theta), sorted by position:
hkl  d (Å)  I_rel
1 0 1  3.009  14
1 1 1  2.426  100
0 0 2  2.214  24
2 0 0  2.051  37
2 1 1  1.695  4
2 0 2  1.505  25
2 2 0  1.450  11
1 1 3  1.316  13
3 1 1  1.245  21
2 2 2  1.213  12

```
data_NaVSi2B
_cell_length_a 4.102
_cell_length_b 4.102
_cell_length_c 4.429
_cell_angle_alpha 90.00
_cell_angle_beta 90.00
_cell_angle_gamma 90.00
_space_group_name_H-M_alt 'P 4/m m m'
_space_group_IT_number 123
_space_group_name_Hall '-P 4 2'
loop_
_atom_site_label
_atom_site_fract_x
_atom_site_fract_y
_atom_site_fract_z
_atom_site_occupancy
Na1 0.000 0.000 0.000 1
V1 0.500 0.500 0.000 1
Si1 0.000 0.500 0.500 1
B1 0.000 0.000 0.500 1
```

=====

Entry 4:
Computed powder X-ray diffraction pattern of NaSmB12 for copper Kα, from a crystal structure in Alexandria, relaxed with GGA-PBE.
Peak positions follow from Bragg's law for the DFT cell and can differ from measured ones.

The 10 most intense peaks (10 to 90 degrees two-theta), sorted by position:
hkl  d (Å)  I_rel
1 1 1  4.783  99
2 0 0  4.142  39
2 2 0  2.929  100
3 1 1  2.498  57
2 2 2  2.391  44
4 0 0  2.071  23
3 3 1  1.900  26
4 2 0  1.852  47
4 4 2  1.381  30
6 2 0  1.310  21

```
data_NaSmB12
_cell_length_a 8.284
_cell_length_b 8.284
_cell_length_c 8.284
_cell_angle_alpha 90.00
_cell_angle_beta 90.00
_cell_angle_gamma 90.00
_space_group_name_H-M_alt 'F m -3 m'
_space_group_IT_number 225
_space_group_name_Hall '-F 4 2 3'
loop_
_atom_site_label
_atom_site_fract_x
_atom_site_fract_y
_atom_site_fract_z
_atom_site_occupancy
Na1 0.000 0.000 0.000 1
Sm1 0.000 0.000 0.500 1
B1 0.101 0.250 0.250 1
```

=====

Entry 5:
Computed powder X-ray diffraction pattern of NaSnB for copper Kα, from a crystal structure in Alexandria, relaxed with GGA-PBE.
Peak positions follow from Bragg's law for the DFT cell and can differ from measured ones.

The 10 most intense peaks (10 to 90 degrees two-theta), sorted by position:
hkl  d (Å)  I_rel
0 1 0  6.153  91
0 1 1  5.092  100
0 0 2  3.281  55
1 0 0  3.123  45
0 2 1  3.061  56
1 1 1  3.044  45
1 -1 0  2.607  39
0 2 -1  2.573  55
1 2 1  2.516  36
1 -1 2  2.075  30

```
data_NaSnB
_cell_length_a 3.237
_cell_length_b 6.466
_cell_length_c 6.873
_cell_angle_alpha 75.08
_cell_angle_beta 78.38
_cell_angle_gamma 77.50
_space_group_name_H-M_alt 'P 1'
_space_group_IT_number 1
loop_
_space_group_symop_operation_xyz
'x,y,z'
loop_
_atom_site_label
_atom_site_fract_x
_atom_site_fract_y
_atom_site_fract_z
_atom_site_occupancy
Na1 0.000 0.000 0.000 1
Na2 0.150 0.230 0.438 1
Sn1 0.672 0.532 0.068 1
Sn2 0.753 0.779 0.629 1
B1 0.513 0.382 0.750 1
B2 0.997 0.396 0.754 1
```

=====

Entry 6:
Computed powder X-ray diffraction pattern of NaSrB12 for copper Kα, from a crystal structure in Alexandria, relaxed with GGA-PBE.
Peak positions follow from Bragg's law for the DFT cell and can differ from measured ones.

The 10 most intense peaks (10 to 90 degrees two-theta), sorted by position:
hkl  d (Å)  I_rel
1 1 1  4.829  57
2 0 0  4.182  16
2 2 0  2.957  100
3 1 1  2.522  33
2 2 2  2.414  48
4 0 0  2.091  25
3 3 1  1.919  15
4 2 0  1.870  44
4 4 2  1.394  33
6 2 0  1.322  23

```
data_NaSrB12
_cell_length_a 8.364
_cell_length_b 8.364
_cell_length_c 8.364
_cell_angle_alpha 90.00
_cell_angle_beta 90.00
_cell_angle_gamma 90.00
_space_group_name_H-M_alt 'F m -3 m'
_space_group_IT_number 225
_space_group_name_Hall '-F 4 2 3'
loop_
_atom_site_label
_atom_site_fract_x
_atom_site_fract_y
_atom_site_fract_z
_atom_site_occupancy
Na1 0.000 0.000 0.000 1
Sr1 0.000 0.000 0.500 1
B1 0.100 0.250 0.250 1
```

=====

Entry 7:
Computed powder X-ray diffraction pattern of Na2BTe5 for copper Kα, from a crystal structure in Alexandria, relaxed with GGA-PBE.
Peak positions follow from Bragg's law for the DFT cell and can differ from measured ones.

The 10 most intense peaks (10 to 90 degrees two-theta), sorted by position:
hkl  d (Å)  I_rel
0 0 1  6.820  100
0 1 2  3.600  20
0 0 2  3.410  59
1 2 1  3.322  42
0 2 0  3.119  30
0 2 2  2.890  29
2 0 0  2.764  53
-1 2 1  2.545  25
2 2 2  2.491  21
2 0 2  2.458  29

```
data_Na2BTe5
_cell_length_a 5.936
_cell_length_b 6.988
_cell_length_c 7.767
_cell_angle_alpha 64.84
_cell_angle_beta 70.76
_cell_angle_gamma 73.73
_space_group_name_H-M_alt 'P 1'
_space_group_IT_number 1
loop_
_space_group_symop_operation_xyz
'x,y,z'
loop_
_atom_site_label
_atom_site_fract_x
_atom_site_fract_y
_atom_site_fract_z
_atom_site_occupancy
Na1 0.000 0.000 0.000 1
Na2 0.462 0.463 0.115 1
B1 0.078 0.611 0.670 1
Te1 0.001 0.944 0.438 1
Te2 0.479 0.576 0.493 1
Te3 0.483 0.029 0.499 1
Te4 0.962 0.378 0.595 1
Te5 0.988 0.561 0.986 1
```

=====

Entry 8:
Computed powder X-ray diffraction pattern of NbB for copper Kα, from a crystal structure in Alexandria, relaxed with GGA-PBE.
Peak positions follow from Bragg's law for the DFT cell and can differ from measured ones.

The 6 most intense peaks (10 to 90 degrees two-theta), sorted by position:
hkl  d (Å)  I_rel
1 1 1  2.670  100
2 0 0  2.312  69
2 2 0  1.635  45
3 1 1  1.394  39
2 2 2  1.335  15
4 0 0  1.156  7

```
data_NbB
_cell_length_a 4.624
_cell_length_b 4.624
_cell_length_c 4.624
_cell_angle_alpha 90.00
_cell_angle_beta 90.00
_cell_angle_gamma 90.00
_space_group_name_H-M_alt 'F m -3 m'
_space_group_IT_number 225
_space_group_name_Hall '-F 4 2 3'
loop_
_atom_site_label
_atom_site_fract_x
_atom_site_fract_y
_atom_site_fract_z
_atom_site_occupancy
Nb1 0.000 0.000 0.000 1
B1 0.000 0.000 0.500 1
```

=====

Entry 9:
Computed powder X-ray diffraction pattern of NbB2 for copper Kα, from a crystal structure in Alexandria, relaxed with GGA-PBE.
Peak positions follow from Bragg's law for the DFT cell and can differ from measured ones.

The 10 most intense peaks (10 to 90 degrees two-theta), sorted by position:
hkl  d (Å)  I_rel
0 0 1  3.359  36
1 0 0  2.695  75
1 0 1  2.102  100
0 0 2  1.679  9
1 1 0  1.556  21
1 0 2  1.425  21
1 1 1  1.412  17
2 0 0  1.347  9
2 0 1  1.251  17
1 1 2  1.141  15

```
data_NbB2
_cell_length_a 3.1118
_cell_length_b 3.1118
_cell_length_c 3.3586
_cell_angle_alpha 90.00
_cell_angle_beta 90.00
_cell_angle_gamma 120.00
_space_group_name_H-M_alt 'P 6/m m m'
_space_group_IT_number 191
_space_group_name_Hall '-P 6 2'
loop_
_atom_site_label
_atom_site_fract_x
_atom_site_fract_y
_atom_site_fract_z
_atom_site_occupancy
Nb1 0.0000 0.0000 0.0000 1
B1 0.3333 0.6667 0.5000 1
```

=====

Entry 10:
Computed powder X-ray diffraction pattern of Nb4B for copper Kα, from a crystal structure in Alexandria, relaxed with GGA-PBE.
Peak positions follow from Bragg's law for the DFT cell and can differ from measured ones.

The 10 most intense peaks (10 to 90 degrees two-theta), sorted by position:
hkl  d (Å)  I_rel
2 2 0  2.738  69
1 0 1  2.561  36
1 3 0  2.449  74
2 1 1  2.136  100
4 0 0  1.936  15
1 4 1  1.544  33
4 3 1  1.345  27
3 5 0  1.328  20
1 3 2  1.187  14
6 1 1  1.153  14

```
data_Nb4B
_cell_length_a 7.744
_cell_length_b 7.744
_cell_length_c 2.714
_cell_angle_alpha 90.00
_cell_angle_beta 90.00
_cell_angle_gamma 90.00
_space_group_name_H-M_alt 'I 4/m'
_space_group_IT_number 87
_space_group_name_Hall '-I 4'
loop_
_atom_site_label
_atom_site_fract_x
_atom_site_fract_y
_atom_site_fract_z
_atom_site_occupancy
Nb1 0.057 0.263 0.000 1
B1 0.000 0.000 0.500 1
```

=====

Entry 11:
Computed powder X-ray diffraction pattern of Nb2Ni3B6 for copper Kα, from a crystal structure in Alexandria, relaxed with GGA-PBE.
Peak positions follow from Bragg's law for the DFT cell and can differ from measured ones.

The 10 most intense peaks (10 to 90 degrees two-theta), sorted by position:
hkl  d (Å)  I_rel
0 0 1  3.263  21
1 1 1  2.816  8
2 2 0  2.788  33
1 3 0  2.642  17
2 2 1  2.120  100
3 1 1  1.917  10
4 0 0  1.850  14
0 0 2  1.632  11
3 5 1  1.285  8
4 0 2  1.224  11

```
data_Nb2Ni3B6
_cell_length_a 7.399
_cell_length_b 8.486
_cell_length_c 3.263
_cell_angle_alpha 90.00
_cell_angle_beta 90.00
_cell_angle_gamma 90.00
_space_group_name_H-M_alt 'C m m m'
_space_group_IT_number 65
_space_group_name_Hall '-C 2 2'
loop_
_atom_site_label
_atom_site_fract_x
_atom_site_fract_y
_atom_site_fract_z
_atom_site_occupancy
Nb1 0.000 0.217 0.000 1
Ni1 0.000 0.500 0.500 1
Ni2 0.231 0.500 0.000 1
B1 0.111 0.000 0.500 1
B2 0.225 0.345 0.500 1
```